Entry 1:
For Tb4Ho2Th3, a DFT-relaxed cell (GGA-PBE, Alexandria) gives the calculated powder XRD pattern in this record (copper Kα).
Lines closer than 0.1° are merged.

Largest 6 diffraction maxima, low angle first, 2θ from 10° to 90°:
(1 0 0), 29.0 deg, I 48.4
(0 0 9), 30.4 deg, I 54.1
(1 0 4), 32.0 deg, I 74.4
(0 1 5), 33.7 deg, I 100.0
(1 1 0), 51.4 deg, I 39.9
(1 1 9), 60.9 deg, I 46.1

Atomic structure:
```
data_Tb4Ho2Th3
_symmetry_space_group_name_H-M 'P 3 m 1'
_symmetry_Int_Tables_number 156
_cell_length_a 3.5567
_cell_length_b 3.5567
_cell_length_c 26.4965
_cell_angle_alpha 90.00
_cell_angle_beta 90.00
_cell_angle_gamma 120.00
loop_
_symmetry_equiv_pos_as_xyz
'x,y,z'
'-y,x-y,z'
'-x+y,-x,z'
'-y,-x,z'
'-x+y,y,z'
'x,x-y,z'
loop_
_atom_site_label
_atom_site_fract_x
_atom_site_fract_y
_atom_site_fract_z
_atom_site_occupancy
Tb1 0.0000 0.0000 0.0000 1
Tb2 0.0000 0.0000 0.2187 1
Tb3 0.3333 0.6667 0.3281 1
Tb4 0.3333 0.6667 0.5491 1
Ho1 0.0000 0.0000 0.6571 1
Ho2 0.0000 0.0000 0.8747 1
Th1 0.0000 0.0000 0.4385 1
Th2 0.3333 0.6667 0.1071 1
Th3 0.3333 0.6667 0.7684 1
```

---

Entry 2:
For Tb2Ho5Th2, a DFT-relaxed cell (GGA-PBE, Alexandria) gives the calculated powder XRD pattern in this record (copper Kα).
Lines closer than 0.1° are merged.

Largest 6 diffraction maxima, low angle first, 2θ from 10° to 90°:
(4 1 1), 28.6 deg, I 82.3
(0 4 0), 30.2 deg, I 74.0
(0 2 2), 31.1 deg, I 100.0
(2 2 2), 33.3 deg, I 41.0
(3 1 2), 33.5 deg, I 29.4
(4 3 1), 35.9 deg, I 65.7

Atomic structure:
```
data_Tb2Ho5Th2
_symmetry_space_group_name_H-M 'I m a 2'
_symmetry_Int_Tables_number 46
_cell_length_a 14.817
_cell_length_b 11.850
_cell_length_c 6.600
_cell_angle_alpha 90.00
_cell_angle_beta 90.00
_cell_angle_gamma 90.00
loop_
_symmetry_equiv_pos_as_xyz
'x,y,z'
'-x,-y,z'
'-x+1/2,y,z'
'x+1/2,-y,z'
'x+1/2,y+1/2,z+1/2'
'-x+1/2,-y+1/2,z+1/2'
'-x,y+1/2,z+1/2'
'x,-y+1/2,z+1/2'
loop_
_atom_site_label
_atom_site_fract_x
_atom_site_fract_y
_atom_site_fract_z
_atom_site_occupancy
Tb1 0.125 0.002 0.000 1
Ho1 0.054 0.743 0.838 1
Ho2 0.143 0.226 0.644 1
Ho3 0.250 0.732 0.645 1
Th1 0.000 0.000 0.535 1
Th2 0.250 0.000 0.466 1
```

---

Entry 3:
For Tb4Ho3Th4, a DFT-relaxed cell (GGA-PBE, Alexandria) gives the calculated powder XRD pattern in this record (copper Kα).
Lines closer than 0.1° are merged.

Largest 6 diffraction maxima, low angle first, 2θ from 10° to 90°:
(1 0 4), 30.8 deg, I 26.5
(0 2 0), 32.2 deg, I 100.0
(4 0 0), 33.6 deg, I 13.0
(4 2 0), 47.2 deg, I 10.1
(0 2 6), 56.5 deg, I 9.8
(2 3 3), 57.4 deg, I 17.4

Atomic structure:
```
data_Tb4Ho3Th4
_symmetry_space_group_name_H-M 'A m m 2'
_symmetry_Int_Tables_number 38
_cell_length_a 10.679
_cell_length_b 5.559
_cell_length_c 12.069
_cell_angle_alpha 90.00
_cell_angle_beta 90.00
_cell_angle_gamma 90.00
loop_
_symmetry_equiv_pos_as_xyz
'x,y,z'
'-x,-y,z'
'-x,y,z'
'x,-y,z'
'x,y+1/2,z+1/2'
'-x,-y+1/2,z+1/2'
'-x,y+1/2,z+1/2'
'x,-y+1/2,z+1/2'
loop_
_atom_site_label
_atom_site_fract_x
_atom_site_fract_y
_atom_site_fract_z
_atom_site_occupancy
Tb1 0.000 0.000 0.000 1
Tb2 0.213 0.000 0.809 1
Tb3 0.500 0.000 0.960 1
Ho1 0.000 0.000 0.307 1
Ho2 0.297 0.000 0.455 1
Th1 0.000 0.000 0.608 1
Th2 0.284 0.000 0.151 1
Th3 0.500 0.000 0.678 1
```

---

Entry 4:
For TbHo5Th2, a DFT-relaxed cell (GGA-PBE, Alexandria) gives the calculated powder XRD pattern in this record (copper Kα).
Lines closer than 0.1° are merged.

Largest 6 diffraction maxima, low angle first, 2θ from 10° to 90°:
(1 2 1), 30.9 deg, I 56.9
(0 2 4), 31.6 deg, I 100.0
(0 4 0), 32.1 deg, I 44.4
(1 0 3), 32.7 deg, I 38.2
(1 4 3), 46.5 deg, I 25.8
(2 2 4), 62.2 deg, I 29.3

Atomic structure:
```
data_TbHo5Th2
_symmetry_space_group_name_H-M 'I m m m'
_symmetry_Int_Tables_number 71
_symmetry_space_group_name_Hall '-I 2 2'
_cell_length_a 3.510
_cell_length_b 11.137
_cell_length_c 13.152
_cell_angle_alpha 90.00
_cell_angle_beta 90.00
_cell_angle_gamma 90.00
loop_
_atom_site_label
_atom_site_fract_x
_atom_site_fract_y
_atom_site_fract_z
_atom_site_occupancy
Tb1 0.000 0.000 0.000 1
Ho1 0.000 0.232 0.369 1
Ho2 0.000 0.500 0.000 1
Th1 0.000 0.500 0.260 1
```

---

Repeat the first record exactly.
For Tb4Ho2Th3, a DFT-relaxed cell (GGA-PBE, Alexandria) gives the calculated powder XRD pattern in this record (copper Kα).
Lines closer than 0.1° are merged.

Largest 6 diffraction maxima, low angle first, 2θ from 10° to 90°:
(1 0 0), 29.0 deg, I 48.4
(0 0 9), 30.4 deg, I 54.1
(1 0 4), 32.0 deg, I 74.4
(0 1 5), 33.7 deg, I 100.0
(1 1 0), 51.4 deg, I 39.9
(1 1 9), 60.9 deg, I 46.1

Atomic structure:
```
data_Tb4Ho2Th3
_symmetry_space_group_name_H-M 'P 3 m 1'
_symmetry_Int_Tables_number 156
_cell_length_a 3.5567
_cell_length_b 3.5567
_cell_length_c 26.4965
_cell_angle_alpha 90.00
_cell_angle_beta 90.00
_cell_angle_gamma 120.00
loop_
_symmetry_equiv_pos_as_xyz
'x,y,z'
'-y,x-y,z'
'-x+y,-x,z'
'-y,-x,z'
'-x+y,y,z'
'x,x-y,z'
loop_
_atom_site_label
_atom_site_fract_x
_atom_site_fract_y
_atom_site_fract_z
_atom_site_occupancy
Tb1 0.0000 0.0000 0.0000 1
Tb2 0.0000 0.0000 0.2187 1
Tb3 0.3333 0.6667 0.3281 1
Tb4 0.3333 0.6667 0.5491 1
Ho1 0.0000 0.0000 0.6571 1
Ho2 0.0000 0.0000 0.8747 1
Th1 0.0000 0.0000 0.4385 1
Th2 0.3333 0.6667 0.1071 1
Th3 0.3333 0.6667 0.7684 1
```

---

Copy entry 3 word for word.
For Tb4Ho3Th4, a DFT-relaxed cell (GGA-PBE, Alexandria) gives the calculated powder XRD pattern in this record (copper Kα).
Lines closer than 0.1° are merged.

Largest 6 diffraction maxima, low angle first, 2θ from 10° to 90°:
(1 0 4), 30.8 deg, I 26.5
(0 2 0), 32.2 deg, I 100.0
(4 0 0), 33.6 deg, I 13.0
(4 2 0), 47.2 deg, I 10.1
(0 2 6), 56.5 deg, I 9.8
(2 3 3), 57.4 deg, I 17.4

Atomic structure:
```
data_Tb4Ho3Th4
_symmetry_space_group_name_H-M 'A m m 2'
_symmetry_Int_Tables_number 38
_cell_length_a 10.679
_cell_length_b 5.559
_cell_length_c 12.069
_cell_angle_alpha 90.00
_cell_angle_beta 90.00
_cell_angle_gamma 90.00
loop_
_symmetry_equiv_pos_as_xyz
'x,y,z'
'-x,-y,z'
'-x,y,z'
'x,-y,z'
'x,y+1/2,z+1/2'
'-x,-y+1/2,z+1/2'
'-x,y+1/2,z+1/2'
'x,-y+1/2,z+1/2'
loop_
_atom_site_label
_atom_site_fract_x
_atom_site_fract_y
_atom_site_fract_z
_atom_site_occupancy
Tb1 0.000 0.000 0.000 1
Tb2 0.213 0.000 0.809 1
Tb3 0.500 0.000 0.960 1
Ho1 0.000 0.000 0.307 1
Ho2 0.297 0.000 0.455 1
Th1 0.000 0.000 0.608 1
Th2 0.284 0.000 0.151 1
Th3 0.500 0.000 0.678 1
```